(1)
Diffraction record for La6Y12Er. The X-ray diffraction stick pattern is theoretical, not measured: it uses a cell relaxed with GGA-PBE and Cu Ka.

Top 6 peaks for 10° ≤ 2θ ≤ 90°, low angle first:
2θ (°)	d [Å]	Rel. int.
27.50	3.243	17
29.91	2.988	19
31.39	2.850	100
41.08	2.197	19
48.63	1.872	18
54.03	1.697	13

Structural model:
abc: 8.819 8.819 8.819
angles: 79.13 79.13 79.13
Atoms (fractional coordinates):
La (0.268, 0.268, 0.663)
La (0.268, 0.663, 0.268)
La (0.337, 0.732, 0.732)
La (0.663, 0.268, 0.268)
La (0.732, 0.337, 0.732)
La (0.732, 0.732, 0.337)
Y (0.013, 0.013, 0.695)
Y (0.013, 0.695, 0.013)
Y (0.014, 0.361, 0.361)
Y (0.305, 0.987, 0.987)
Y (0.361, 0.014, 0.361)
Y (0.361, 0.361, 0.014)
Y (0.639, 0.639, 0.986)
Y (0.639, 0.986, 0.639)
Y (0.695, 0.013, 0.013)
Y (0.986, 0.639, 0.639)
Y (0.987, 0.305, 0.987)
Y (0.987, 0.987, 0.305)
Er (0.500, 0.500, 0.500)


(2)
Diffraction record for NaMg6Ni. The X-ray diffraction stick pattern is theoretical, not measured: it uses a cell relaxed with GGA-PBE and Cu Ka.

Top 6 peaks for 10° ≤ 2θ ≤ 90°, low angle first:
2θ (°)	d [Å]	Rel. int.
12.67	6.988	43
36.04	2.492	19
36.64	2.452	100
52.37	1.747	10
65.18	1.431	10
66.03	1.415	9

Structural model:
abc: 3.445 6.989 6.989
angles: 89.01 90.00 90.00
Atoms (fractional coordinates):
Na (0.000, 0.000, 0.000)
Mg (0.000, 0.499, 0.999)
Mg (0.000, 0.999, 0.499)
Mg (0.500, 0.286, 0.713)
Mg (0.500, 0.287, 0.287)
Mg (0.500, 0.713, 0.286)
Mg (0.500, 0.713, 0.713)
Ni (0.000, 0.501, 0.501)


(3)
Diffraction record for Tb2Pb2O7. The X-ray diffraction stick pattern is theoretical, not measured: it uses a cell relaxed with GGA-PBE and Cu Ka.

Top 6 peaks for 10° ≤ 2θ ≤ 90°, low angle first:
2θ (°)	d [Å]	Rel. int.
25.07	3.553	100
26.97	3.305	60
27.66	3.225	70
27.86	3.202	78
31.93	2.803	83
49.29	1.849	61

Structural model:
abc: 7.391 7.391 12.900
angles: 90.00 90.00 90.00
Atoms (fractional coordinates):
Tb (0.125, 0.358, 0.389)
Tb (0.142, 0.625, 0.639)
Tb (0.358, 0.125, 0.611)
Tb (0.375, 0.858, 0.861)
Tb (0.625, 0.142, 0.361)
Tb (0.642, 0.875, 0.111)
Tb (0.858, 0.375, 0.139)
Tb (0.875, 0.642, 0.889)
Pb (0.111, 0.874, 0.098)
Pb (0.126, 0.889, 0.402)
Pb (0.374, 0.389, 0.848)
Pb (0.389, 0.374, 0.152)
Pb (0.611, 0.626, 0.652)
Pb (0.626, 0.611, 0.348)
Pb (0.874, 0.111, 0.902)
Pb (0.889, 0.126, 0.598)
O (0.069, 0.903, 0.910)
O (0.096, 0.326, 0.575)
O (0.097, 0.931, 0.590)
O (0.131, 0.337, 0.211)
O (0.163, 0.631, 0.461)
O (0.174, 0.596, 0.825)
O (0.196, 0.804, 0.250)
O (0.304, 0.304, 0.000)
O (0.326, 0.096, 0.425)
O (0.337, 0.131, 0.789)
O (0.369, 0.837, 0.039)
O (0.403, 0.431, 0.660)
O (0.404, 0.826, 0.675)
O (0.431, 0.403, 0.340)
O (0.569, 0.597, 0.840)
O (0.596, 0.174, 0.175)
O (0.597, 0.569, 0.160)
O (0.631, 0.163, 0.539)
O (0.663, 0.869, 0.289)
O (0.674, 0.904, 0.925)
O (0.696, 0.696, 0.500)
O (0.804, 0.196, 0.750)
O (0.826, 0.404, 0.325)
O (0.837, 0.369, 0.961)
O (0.869, 0.663, 0.711)
O (0.903, 0.069, 0.090)
O (0.904, 0.674, 0.075)
O (0.931, 0.097, 0.410)


(4)
Diffraction record for SrZn5Pd2. The X-ray diffraction stick pattern is theoretical, not measured: it uses a cell relaxed with GGA-PBE and Cu Ka.

Top 6 peaks for 10° ≤ 2θ ≤ 90°, low angle first:
2θ (°)	d [Å]	Rel. int.
30.65	2.917	61
33.83	2.650	89
34.61	2.592	100
42.74	2.116	68
43.51	2.080	82
44.29	2.045	60

Structural model:
abc: 6.572 6.572 6.572
angles: 143.74 111.30 80.24
Atoms (fractional coordinates):
Sr (0.000, 0.000, 0.000)
Zn (0.168, 0.352, 0.817)
Zn (0.465, 0.648, 0.817)
Zn (0.500, 0.000, 0.500)
Zn (0.535, 0.352, 0.183)
Zn (0.832, 0.648, 0.183)
Pd (0.251, 0.751, 0.500)
Pd (0.749, 0.249, 0.500)


(5)
Diffraction record for Er3HfN4. The X-ray diffraction stick pattern is theoretical, not measured: it uses a cell relaxed with GGA-PBE and Cu Ka.

Top 6 peaks for 10° ≤ 2θ ≤ 90°, low angle first:
2θ (°)	d [Å]	Rel. int.
32.59	2.747	72
32.70	2.739	72
37.87	2.376	100
54.67	1.679	57
64.99	1.435	21
65.18	1.431	42

Structural model:
abc: 5.820 5.820 3.354
angles: 90.00 90.00 109.25
Atoms (fractional coordinates):
Er (0.000, 0.000, 0.000)
Er (0.000, 0.500, 0.500)
Er (0.500, 0.000, 0.500)
Hf (0.500, 0.500, 0.000)
N (0.259, 0.741, 0.000)
N (0.265, 0.265, 0.500)
N (0.735, 0.735, 0.500)
N (0.741, 0.259, 0.000)


(6)
Diffraction record for TlRhSe4. The X-ray diffraction stick pattern is theoretical, not measured: it uses a cell relaxed with GGA-PBE and Cu Ka.

Top 6 peaks for 10° ≤ 2θ ≤ 90°, low angle first:
2θ (°)	d [Å]	Rel. int.
15.18	5.838	48
23.61	3.769	47
26.06	3.419	32
31.41	2.848	100
32.16	2.783	40
46.68	1.946	34

Structural model:
abc: 7.496 7.496 7.141
angles: 106.04 106.04 110.00
Atoms (fractional coordinates):
Tl (0.096, 0.904, 0.750)
Tl (0.904, 0.096, 0.250)
Rh (0.446, 0.554, 0.750)
Rh (0.554, 0.446, 0.250)
Se (0.197, 0.598, 0.459)
Se (0.262, 0.440, 0.975)
Se (0.402, 0.803, 0.041)
Se (0.440, 0.262, 0.475)
Se (0.560, 0.738, 0.525)
Se (0.598, 0.197, 0.959)
Se (0.738, 0.560, 0.025)
Se (0.803, 0.402, 0.541)


Q: What is the formula in the third record?
A: Tb2Pb2O7